Theoretical X-ray powder pattern
Compound: La9YTh4
Radiation: Cu Ka
Structure: the GGA-PBE geometry in Alexandria
Neutral-atom scattering factors, no anomalous dispersion.

Main lines, most intense first (2θ from 15° to 90°):
- 2.872 Å, 31.14 deg, intensity 100
- 2.858 Å, 31.29 deg, intensity 59
- 2.846 Å, 31.44 deg, intensity 38
- 1.778 Å, 51.38 deg, intensity 27
- 2.782 Å, 32.17 deg, intensity 25
- 1.691 Å, 54.26 deg, intensity 21

Crystal structure
Lattice parameters (Å, degrees): 10.245 10.245 11.128 90.00 90.00 120.00
Positions (direct):
La: 0.087 0.543 0.250
La: 0.197 0.394 0.544
La: 0.197 0.394 0.956
La: 0.197 0.803 0.544
La: 0.197 0.803 0.956
La: 0.394 0.197 0.044
La: 0.394 0.197 0.456
La: 0.457 0.543 0.250
La: 0.457 0.913 0.250
La: 0.543 0.087 0.750
La: 0.543 0.457 0.750
La: 0.606 0.803 0.544
La: 0.606 0.803 0.956
La: 0.803 0.197 0.044
La: 0.803 0.197 0.456
La: 0.803 0.606 0.044
La: 0.803 0.606 0.456
La: 0.913 0.457 0.750
Y: 0.333 0.667 0.750
Y: 0.667 0.333 0.250
Th: 0.000 0.000 0.000
Th: 0.000 0.000 0.500
Th: 0.111 0.222 0.250
Th: 0.111 0.889 0.250
Th: 0.222 0.111 0.750
Th: 0.778 0.889 0.250
Th: 0.889 0.111 0.750
Th: 0.889 0.778 0.750